For Ac3YAg4, a crystal structure in Alexandria, relaxed with GGA-PBE gives the computed PXRD pattern in this record (Cu Kα).

Crystal structure
a = 3.873 Å, b = 3.873 Å, c = 15.601 Å
α = 90.00°, β = 90.00°, γ = 90.00°
Element x y z (fractional)
Ac 0.000 0.000 0.000
Ac 0.000 0.000 0.259
Ac 0.000 0.000 0.741
Y 0.000 0.000 0.500
Ag 0.500 0.500 0.130
Ag 0.500 0.500 0.397
Ag 0.500 0.500 0.603
Ag 0.500 0.500 0.870

The 6 most intense peaks (2θ = 10–80°), by intensity:
d = 2.748 Å, 32.58 deg, I 100; d = 2.738 Å, 32.70 deg, I 54; d = 1.583 Å, 58.29 deg, I 38; d = 1.936 Å, 46.92 deg, I 20; d = 1.225 Å, 78.00 deg, I 17; d = 1.588 Å, 58.07 deg, I 15

=====

For Ac3ZnAg, a crystal structure in Alexandria, relaxed with GGA-PBE gives the computed PXRD pattern in this record (Cu Kα).

Crystal structure
a = 11.070 Å, b = 11.070 Å, c = 5.604 Å
α = 90.00°, β = 90.00°, γ = 150.70°
Element x y z (fractional)
Ac 0.068 0.932 0.750
Ac 0.249 0.751 0.750
Ac 0.430 0.570 0.750
Ac 0.570 0.430 0.250
Ac 0.751 0.249 0.250
Ac 0.932 0.068 0.250
Zn 0.157 0.843 0.250
Zn 0.843 0.157 0.750
Ag 0.340 0.660 0.250
Ag 0.660 0.340 0.750

The 6 most intense peaks (2θ = 10–80°), by intensity:
d = 2.908 Å, 30.74 deg, I 100; d = 2.801 Å, 31.95 deg, I 55; d = 1.637 Å, 56.19 deg, I 37; d = 3.895 Å, 22.83 deg, I 22; d = 1.980 Å, 45.82 deg, I 21; d = 2.204 Å, 40.96 deg, I 14

=====

For Ac2Zn5Ag5, a crystal structure in Alexandria, relaxed with GGA-PBE gives the computed PXRD pattern in this record (Cu Kα).

Crystal structure
a = 4.523 Å, b = 5.583 Å, c = 9.992 Å
α = 90.00°, β = 90.00°, γ = 90.00°
Element x y z (fractional)
Ac 0.000 0.000 0.000
Ac 0.000 0.500 0.500
Zn 0.500 0.000 0.500
Zn 0.500 0.250 0.252
Zn 0.500 0.250 0.748
Zn 0.500 0.750 0.252
Zn 0.500 0.750 0.748
Ag 0.000 0.000 0.331
Ag 0.000 0.000 0.669
Ag 0.000 0.500 0.177
Ag 0.000 0.500 0.823
Ag 0.500 0.500 0.000

The 6 most intense peaks (2θ = 10–80°), by intensity:
d = 2.417 Å, 37.19 deg, I 100; d = 2.375 Å, 37.88 deg, I 41; d = 3.315 Å, 26.89 deg, I 35; d = 2.860 Å, 31.27 deg, I 34; d = 2.261 Å, 39.87 deg, I 33; d = 1.529 Å, 60.56 deg, I 24

=====

For AcZn12Ag6, a crystal structure in Alexandria, relaxed with GGA-PBE gives the computed PXRD pattern in this record (Cu Kα).

Crystal structure
a = 7.319 Å, b = 7.319 Å, c = 7.319 Å
α = 103.85°, β = 103.85°, γ = 103.85°
Element x y z (fractional)
Ac 0.000 0.000 0.000
Zn 0.108 0.500 0.892
Zn 0.108 0.892 0.500
Zn 0.127 0.390 0.390
Zn 0.390 0.127 0.390
Zn 0.390 0.390 0.127
Zn 0.500 0.108 0.892
Zn 0.500 0.892 0.108
Zn 0.610 0.610 0.873
Zn 0.610 0.873 0.610
Zn 0.873 0.610 0.610
Zn 0.892 0.108 0.500
Zn 0.892 0.500 0.108
Ag 0.285 0.285 0.705
Ag 0.285 0.705 0.285
Ag 0.295 0.715 0.715
Ag 0.705 0.285 0.285
Ag 0.715 0.295 0.715
Ag 0.715 0.715 0.295

The 6 most intense peaks (2θ = 10–80°), by intensity:
d = 2.649 Å, 33.84 deg, I 100; d = 2.080 Å, 43.52 deg, I 92; d = 3.487 Å, 25.54 deg, I 90; d = 2.696 Å, 33.23 deg, I 86; d = 2.047 Å, 44.24 deg, I 66; d = 1.829 Å, 49.85 deg, I 61

=====

For Ac2ZnAg6, a crystal structure in Alexandria, relaxed with GGA-PBE gives the computed PXRD pattern in this record (Cu Kα).

Crystal structure
a = 6.350 Å, b = 6.350 Å, c = 6.059 Å
α = 90.00°, β = 90.00°, γ = 120.00°
Element x y z (fractional)
Ac 0.333 0.667 0.339
Ac 0.667 0.333 0.661
Zn 0.000 0.000 0.500
Ag 0.176 0.353 0.825
Ag 0.176 0.824 0.825
Ag 0.353 0.176 0.175
Ag 0.647 0.824 0.825
Ag 0.824 0.176 0.175
Ag 0.824 0.647 0.175

The 6 most intense peaks (2θ = 10–80°), by intensity:
d = 2.504 Å, 35.87 deg, I 100; d = 2.653 Å, 33.78 deg, I 48; d = 2.812 Å, 31.82 deg, I 32; d = 1.587 Å, 58.11 deg, I 23; d = 2.750 Å, 32.57 deg, I 21; d = 1.714 Å, 53.46 deg, I 19

=====

For Ac4Zn5Ag2, a crystal structure in Alexandria, relaxed with GGA-PBE gives the computed PXRD pattern in this record (Cu Kα).

Crystal structure
a = 7.524 Å, b = 4.197 Å, c = 9.655 Å
α = 90.00°, β = 93.96°, γ = 90.00°
Element x y z (fractional)
Ac 0.191 0.000 0.383
Ac 0.265 0.000 0.930
Ac 0.735 0.000 0.070
Ac 0.809 0.000 0.617
Zn 0.206 0.500 0.657
Zn 0.450 0.500 0.214
Zn 0.500 0.500 0.500
Zn 0.550 0.500 0.786
Zn 0.794 0.500 0.343
Ag 0.070 0.500 0.142
Ag 0.930 0.500 0.858

The 6 most intense peaks (2θ = 10–80°), by intensity:
d = 2.964 Å, 30.15 deg, I 100; d = 2.869 Å, 31.17 deg, I 95; d = 2.798 Å, 31.99 deg, I 82; d = 4.190 Å, 21.21 deg, I 42; d = 2.099 Å, 43.10 deg, I 42; d = 2.340 Å, 38.46 deg, I 39

=====

For AcZn2Ag8, a crystal structure in Alexandria, relaxed with GGA-PBE gives the computed PXRD pattern in this record (Cu Kα).

Crystal structure
a = 5.550 Å, b = 5.550 Å, c = 8.940 Å
α = 90.00°, β = 90.00°, γ = 90.00°
Element x y z (fractional)
Ac 0.000 0.000 0.000
Zn 0.000 0.500 0.500
Zn 0.500 0.000 0.500
Ag 0.252 0.252 0.292
Ag 0.252 0.252 0.708
Ag 0.252 0.748 0.292
Ag 0.252 0.748 0.708
Ag 0.748 0.252 0.292
Ag 0.748 0.252 0.708
Ag 0.748 0.748 0.292
Ag 0.748 0.748 0.708

The 6 most intense peaks (2θ = 10–80°), by intensity:
d = 2.358 Å, 38.17 deg, I 100; d = 1.962 Å, 46.27 deg, I 35; d = 3.594 Å, 24.78 deg, I 31; d = 4.715 Å, 18.82 deg, I 22; d = 2.980 Å, 29.99 deg, I 19; d = 4.470 Å, 19.86 deg, I 18

=====

For AcZn2Ag6, a crystal structure in Alexandria, relaxed with GGA-PBE gives the computed PXRD pattern in this record (Cu Kα).

Crystal structure
a = 8.549 Å, b = 8.549 Å, c = 8.549 Å
α = 60.00°, β = 60.00°, γ = 60.00°
Element x y z (fractional)
Ac 0.125 0.125 0.125
Ac 0.875 0.875 0.875
Zn 0.000 0.500 0.500
Zn 0.500 0.000 0.500
Zn 0.500 0.500 0.000
Zn 0.500 0.500 0.500
Ag 0.134 0.134 0.616
Ag 0.134 0.616 0.134
Ag 0.134 0.616 0.616
Ag 0.384 0.384 0.866
Ag 0.384 0.866 0.384
Ag 0.384 0.866 0.866
Ag 0.616 0.134 0.134
Ag 0.616 0.134 0.616
Ag 0.616 0.616 0.134
Ag 0.866 0.384 0.384
Ag 0.866 0.384 0.866
Ag 0.866 0.866 0.384

The 6 most intense peaks (2θ = 10–80°), by intensity:
d = 2.137 Å, 42.28 deg, I 100; d = 3.023 Å, 29.55 deg, I 71; d = 3.646 Å, 24.42 deg, I 45; d = 1.234 Å, 77.32 deg, I 31; d = 1.352 Å, 69.54 deg, I 22; d = 1.745 Å, 52.43 deg, I 18

=====

- Which formula does entry 1 have?
  Ac3YAg4